Starting from a PBE-relaxed structure, the powder X-ray diffraction pattern of Zn3CdGa2Ag2S8 was simulated for Cu Kα (λ = 1.5418 Å).
No peak broadening, texture or thermal motion is included.

Peak list (6 most intense, 2θ from 10° to 90°, low angle first)
hkl, d_spacing, 2theta, intensity
0 1 2, 3.435, 25.9, 70
0 2 0, 3.377, 26.4, 36
2 0 0, 3.240, 27.5, 72
1 1 -2, 3.035, 29.4, 100
2 1 2, 2.357, 38.2, 30
-3 1 2, 1.828, 49.9, 58

Atomic structure:
```
data_Zn3CdGa2Ag2S8
_chemical_formula_sum 'Zn3 Cd1 Ga2 Ag2 S8'
_cell_length_a 6.4792
_cell_length_b 6.7539
_cell_length_c 7.9793
_cell_angle_alpha 89.84
_cell_angle_beta 89.95
_cell_angle_gamma 89.91
_symmetry_space_group_name_H-M 'P 1'
_symmetry_Int_Tables_number 1
loop_
_symmetry_equiv_pos_as_xyz
'x,y,z'
loop_
_atom_site_label
_atom_site_fract_x
_atom_site_fract_y
_atom_site_fract_z
Zn1 0.0000 0.0000 0.0000
Zn2 0.0015 0.0086 0.5028
Zn3 0.5003 0.3417 0.5020
Cd1 0.4984 0.3414 0.0046
Ga1 0.9995 0.4963 0.7472
Ga2 0.5036 0.8536 0.2583
Ag1 0.0012 0.5216 0.2584
Ag2 0.4894 0.8393 0.7456
S1 0.0986 0.8280 0.7501
S2 0.1038 0.3364 0.9878
S3 0.1350 0.3350 0.5176
S4 0.1455 0.8749 0.2532
S5 0.6063 0.5279 0.2678
S6 0.6347 0.0177 0.4873
S7 0.6358 0.9873 0.0166
S8 0.6447 0.4899 0.7377
```


Starting from a PBE-relaxed structure, the powder X-ray diffraction pattern of Ga2O3 was simulated for Cu Kα (λ = 1.5418 Å).
No peak broadening, texture or thermal motion is included.

Peak list (6 most intense, 2θ from 10° to 90°, low angle first)
hkl, d_spacing, 2theta, intensity
0 0 1, 7.031, 12.6, 45
0 0 2, 3.515, 25.3, 83
1 1 -1, 2.847, 31.4, 76
4 0 0, 2.831, 31.6, 73
1 1 1, 2.731, 32.8, 100
5 1 1, 1.708, 53.7, 31

Atomic structure:
```
data_Ga2O3
_chemical_formula_sum 'Ga8 O12'
_cell_length_a 11.5940
_cell_length_b 3.1509
_cell_length_c 7.1977
_cell_angle_alpha 90.00
_cell_angle_beta 102.37
_cell_angle_gamma 90.00
_symmetry_space_group_name_H-M 'C 1 2/m 1'
_symmetry_Int_Tables_number 12
loop_
_symmetry_equiv_pos_as_xyz
'x,y,z'
'-x,-y,-z'
'-x,y,-z'
'x,-y,z'
'x+1/2,y+1/2,z'
'-x+1/2,-y+1/2,-z'
'-x+1/2,y+1/2,-z'
'x+1/2,-y+1/2,z'
loop_
_atom_site_label
_atom_site_fract_x
_atom_site_fract_y
_atom_site_fract_z
Ga1 0.1143 0.0000 0.3320
Ga2 0.1403 0.5000 0.7568
O1 0.0524 0.0000 0.7731
O2 0.1313 0.5000 0.4798
O3 0.2023 0.0000 0.1532
```


Starting from a PBE-relaxed structure, the powder X-ray diffraction pattern of CeBe2Rh2 was simulated for Cu Kα (λ = 1.5418 Å).
No peak broadening, texture or thermal motion is included.

Peak list (6 most intense, 2θ from 10° to 90°, low angle first)
hkl, d_spacing, 2theta, intensity
1 0 2, 3.040, 29.4, 40
1 1 1, 2.740, 32.7, 63
1 0 3, 2.442, 36.8, 83
1 1 2, 2.434, 36.9, 100
2 0 0, 2.030, 44.6, 64
2 1 3, 1.561, 59.2, 41

Atomic structure:
```
data_CeBe2Rh2
_chemical_formula_sum 'Ce2 Be4 Rh4'
_cell_length_a 4.0603
_cell_length_b 4.0603
_cell_length_c 9.1722
_cell_angle_alpha 90.00
_cell_angle_beta 90.00
_cell_angle_gamma 90.00
_symmetry_space_group_name_H-M 'P 4/n m m'
_symmetry_Int_Tables_number 129
loop_
_symmetry_equiv_pos_as_xyz
'x,y,z'
'-x,-y,-z'
'-y+1/2,x,z'
'y+1/2,-x,-z'
'-x+1/2,-y+1/2,z'
'x+1/2,y+1/2,-z'
'y,-x+1/2,z'
'-y,x+1/2,-z'
'x+1/2,-y,-z'
'-x+1/2,y,z'
'-y,-x,-z'
'y,x,z'
'-x,y+1/2,-z'
'x,-y+1/2,z'
'y+1/2,x+1/2,-z'
'-y+1/2,-x+1/2,z'
loop_
_atom_site_label
_atom_site_fract_x
_atom_site_fract_y
_atom_site_fract_z
Ce1 0.2500 0.2500 0.2415
Be1 0.2500 0.2500 0.8811
Be2 0.2500 0.7500 0.5000
Rh1 0.2500 0.2500 0.6211
Rh2 0.2500 0.7500 0.0000
```


Starting from a PBE-relaxed structure, the powder X-ray diffraction pattern of Al7Rh5 was simulated for Cu Kα (λ = 1.5418 Å).
No peak broadening, texture or thermal motion is included.

Peak list (6 most intense, 2θ from 10° to 90°, low angle first)
hkl, d_spacing, 2theta, intensity
1 1 0, 3.201, 27.9, 45
1 0 2, 3.133, 28.5, 32
1 1 -2, 2.538, 35.4, 21
0 1 3, 2.229, 40.5, 100
2 1 0, 2.211, 40.8, 74
0 2 0, 2.010, 45.1, 42

Atomic structure:
```
data_Al7Rh5
_chemical_formula_sum 'Al7 Rh5'
_cell_length_a 5.2994
_cell_length_b 4.0191
_cell_length_c 8.0464
_cell_angle_alpha 90.00
_cell_angle_beta 92.60
_cell_angle_gamma 90.00
_symmetry_space_group_name_H-M 'P 1 m 1'
_symmetry_Int_Tables_number 6
loop_
_symmetry_equiv_pos_as_xyz
'x,y,z'
'x,-y,z'
loop_
_atom_site_label
_atom_site_fract_x
_atom_site_fract_y
_atom_site_fract_z
Al1 0.0000 0.0000 0.0000
Al2 0.0110 0.0000 0.6633
Al3 0.2933 0.5000 0.1740
Al4 0.3296 0.5000 0.5108
Al5 0.5009 0.0000 0.9961
Al6 0.6996 0.5000 0.8137
Al7 0.9855 0.0000 0.3353
Rh1 0.1859 0.5000 0.8507
Rh2 0.4837 0.0000 0.3128
Rh3 0.5026 0.0000 0.6819
Rh4 0.8081 0.5000 0.1313
Rh5 0.8331 0.5000 0.5110
```


Starting from a PBE-relaxed structure, the powder X-ray diffraction pattern of SmErPt10 was simulated for Cu Kα (λ = 1.5418 Å).
No peak broadening, texture or thermal motion is included.

Peak list (6 most intense, 2θ from 10° to 90°, low angle first)
hkl, d_spacing, 2theta, intensity
0 0 2, 4.645, 19.1, 43
0 2 2, 2.326, 38.7, 28
1 2 0, 2.303, 39.1, 51
1 1 3, 2.296, 39.2, 100
2 0 0, 2.230, 40.5, 53
1 2 2, 2.062, 43.9, 51

Atomic structure:
```
data_SmErPt10
_chemical_formula_sum 'Sm1 Er1 Pt10'
_cell_length_a 4.4592
_cell_length_b 5.3796
_cell_length_c 9.2642
_cell_angle_alpha 90.00
_cell_angle_beta 90.00
_cell_angle_gamma 90.00
_symmetry_space_group_name_H-M 'P m m m'
_symmetry_Int_Tables_number 47
loop_
_symmetry_equiv_pos_as_xyz
'x,y,z'
'-x,-y,-z'
'-x,-y,z'
'x,y,-z'
'x,-y,-z'
'-x,y,z'
'-x,y,-z'
'x,-y,z'
loop_
_atom_site_label
_atom_site_fract_x
_atom_site_fract_y
_atom_site_fract_z
Sm1 0.0000 0.0000 0.0000
Er1 0.0000 0.5000 0.5000
Pt1 0.0000 0.0000 0.3358
Pt2 0.0000 0.5000 0.1700
Pt3 0.5000 0.0000 0.5000
Pt4 0.5000 0.2507 0.2514
Pt5 0.5000 0.5000 0.0000
```


Starting from a PBE-relaxed structure, the powder X-ray diffraction pattern of Li14TlPd was simulated for Cu Kα (λ = 1.5418 Å).
No peak broadening, texture or thermal motion is included.

Peak list (6 most intense, 2θ from 10° to 90°, low angle first)
hkl, d_spacing, 2theta, intensity
0 0 1, 6.572, 13.5, 90
1 1 0, 4.698, 18.9, 82
1 1 1, 3.822, 23.3, 100
2 0 1, 2.965, 30.1, 56
1 1 2, 2.693, 33.3, 40
2 0 2, 2.336, 38.5, 44

Atomic structure:
```
data_Li14TlPd
_chemical_formula_sum 'Li14 Tl1 Pd1'
_cell_length_a 6.6435
_cell_length_b 6.6435
_cell_length_c 6.5717
_cell_angle_alpha 90.00
_cell_angle_beta 90.00
_cell_angle_gamma 90.00
_symmetry_space_group_name_H-M 'P 4/m m m'
_symmetry_Int_Tables_number 123
_symmetry_space_group_name_Hall '-P 4 2'
loop_
_atom_site_label
_atom_site_fract_x
_atom_site_fract_y
_atom_site_fract_z
Li1 0.0000 0.0000 0.0000
Li2 0.0000 0.5000 0.0000
Li3 0.0000 0.5000 0.5000
Li4 0.2344 0.2344 0.2684
Li5 0.5000 0.5000 0.0000
Tl1 0.5000 0.5000 0.5000
Pd1 0.0000 0.0000 0.5000
```


Starting from a PBE-relaxed structure, the powder X-ray diffraction pattern of BrO4F2 was simulated for Cu Kα (λ = 1.5418 Å).
No peak broadening, texture or thermal motion is included.

Peak list (6 most intense, 2θ from 10° to 90°, low angle first)
hkl, d_spacing, 2theta, intensity
0 0 1, 6.620, 13.4, 100
0 1 0, 5.012, 17.7, 37
0 1 1, 4.241, 20.9, 84
0 1 -1, 3.789, 23.5, 53
1 -1 0, 2.833, 31.6, 52
-1 1 1, 2.549, 35.2, 33

Atomic structure:
```
data_BrO4F2
_chemical_formula_sum 'Br1 O4 F2'
_cell_length_a 3.7429
_cell_length_b 5.0819
_cell_length_c 6.7705
_cell_angle_alpha 82.26
_cell_angle_beta 79.89
_cell_angle_gamma 83.25
_symmetry_space_group_name_H-M 'P -1'
_symmetry_Int_Tables_number 2
loop_
_symmetry_equiv_pos_as_xyz
'x,y,z'
'-x,-y,-z'
loop_
_atom_site_label
_atom_site_fract_x
_atom_site_fract_y
_atom_site_fract_z
Br1 0.0000 0.0000 0.0000
O1 0.0577 0.2111 0.7792
O2 0.4113 0.4162 0.4826
F1 0.2989 0.2099 0.1163
```


Starting from a PBE-relaxed structure, the powder X-ray diffraction pattern of ThZnCoH6 was simulated for Cu Kα (λ = 1.5418 Å).
No peak broadening, texture or thermal motion is included.

Peak list (6 most intense, 2θ from 10° to 90°, low angle first)
hkl, d_spacing, 2theta, intensity
1 0 0, 3.822, 23.3, 27
1 0 1, 2.884, 31.0, 100
1 1 0, 2.207, 40.9, 36
2 0 1, 1.752, 52.2, 24
1 1 2, 1.557, 59.4, 24
2 1 1, 1.372, 68.4, 21

Atomic structure:
```
data_ThZnCoH6
_chemical_formula_sum 'Th1 Zn1 Co1 H6'
_cell_length_a 4.4134
_cell_length_b 4.4134
_cell_length_c 4.3939
_cell_angle_alpha 90.00
_cell_angle_beta 90.00
_cell_angle_gamma 120.00
_symmetry_space_group_name_H-M 'P -6 m 2'
_symmetry_Int_Tables_number 187
_symmetry_space_group_name_Hall 'P -6 2'
loop_
_atom_site_label
_atom_site_fract_x
_atom_site_fract_y
_atom_site_fract_z
Th1 0.0000 0.0000 0.0000
Zn1 0.3333 0.6667 0.5000
Co1 0.6667 0.3333 0.5000
H1 0.5147 0.0295 0.2280
```


Starting from a PBE-relaxed structure, the powder X-ray diffraction pattern of Ac7Pb4N was simulated for Cu Kα (λ = 1.5418 Å).
No peak broadening, texture or thermal motion is included.

Peak list (6 most intense, 2θ from 10° to 90°, low angle first)
hkl, d_spacing, 2theta, intensity
3 1 1, 2.960, 30.2, 87
5 1 -3, 2.870, 31.2, 100
0 2 0, 2.775, 32.3, 40
8 0 -2, 2.133, 42.4, 17
2 2 -4, 1.995, 45.5, 22
8 2 -2, 1.691, 54.2, 27

Atomic structure:
```
data_Ac7Pb4N
_chemical_formula_sum 'Ac14 Pb8 N2'
_cell_length_a 17.7748
_cell_length_b 5.5493
_cell_length_c 12.0796
_cell_angle_alpha 90.00
_cell_angle_beta 126.95
_cell_angle_gamma 90.00
_symmetry_space_group_name_H-M 'C 1 2/m 1'
_symmetry_Int_Tables_number 12
loop_
_symmetry_equiv_pos_as_xyz
'x,y,z'
'-x,-y,-z'
'-x,y,-z'
'x,-y,z'
'x+1/2,y+1/2,z'
'-x+1/2,-y+1/2,-z'
'-x+1/2,y+1/2,-z'
'x+1/2,-y+1/2,z'
loop_
_atom_site_label
_atom_site_fract_x
_atom_site_fract_y
_atom_site_fract_z
Ac1 0.0000 0.0000 0.0000
Ac2 0.0649 0.5000 0.2382
Ac3 0.1387 0.0000 0.5410
Ac4 0.2146 0.5000 0.8635
Pb1 0.0778 0.0000 0.7819
Pb2 0.2211 0.0000 0.3424
N1 0.0000 0.5000 0.0000
```


Starting from a PBE-relaxed structure, the powder X-ray diffraction pattern of Ba3NdO4 was simulated for Cu Kα (λ = 1.5418 Å).
No peak broadening, texture or thermal motion is included.

Peak list (6 most intense, 2θ from 10° to 90°, low angle first)
hkl, d_spacing, 2theta, intensity
2 1 0, 3.898, 22.8, 46
0 2 1, 3.199, 27.9, 100
0 0 2, 2.800, 32.0, 25
2 1 2, 2.274, 39.6, 20
2 3 0, 2.248, 40.1, 26
2 3 2, 1.753, 52.2, 23

Atomic structure:
```
data_Ba3NdO4
_chemical_formula_sum 'Ba6 Nd2 O8'
_cell_length_a 9.0252
_cell_length_b 7.7763
_cell_length_c 5.5996
_cell_angle_alpha 90.00
_cell_angle_beta 90.00
_cell_angle_gamma 90.00
_symmetry_space_group_name_H-M 'P m n 21'
_symmetry_Int_Tables_number 31
loop_
_symmetry_equiv_pos_as_xyz
'x,y,z'
'-x+1/2,-y,z+1/2'
'-x,y,z'
'x+1/2,-y,z+1/2'
loop_
_atom_site_label
_atom_site_fract_x
_atom_site_fract_y
_atom_site_fract_z
Ba1 0.0000 0.1630 0.0000
Ba2 0.2468 0.3379 0.5010
Nd1 0.0000 0.8242 0.4771
O1 0.0000 0.1199 0.5103
O2 0.0000 0.8305 0.0680
O3 0.2293 0.6955 0.5083
```


Starting from a PBE-relaxed structure, the powder X-ray diffraction pattern of Tl5SnHg4 was simulated for Cu Kα (λ = 1.5418 Å).
No peak broadening, texture or thermal motion is included.

Peak list (6 most intense, 2θ from 10° to 90°, low angle first)
hkl, d_spacing, 2theta, intensity
1 0 5, 2.810, 31.9, 100
0 0 10, 2.442, 36.8, 17
1 1 0, 2.429, 37.0, 34
1 1 10, 1.722, 53.2, 24
1 0 15, 1.471, 63.2, 14
2 1 5, 1.465, 63.5, 29

Atomic structure:
```
data_Tl5SnHg4
_chemical_formula_sum 'Tl5 Sn1 Hg4'
_cell_length_a 3.4348
_cell_length_b 3.4348
_cell_length_c 24.4192
_cell_angle_alpha 90.00
_cell_angle_beta 90.00
_cell_angle_gamma 90.00
_symmetry_space_group_name_H-M 'P 4/m m m'
_symmetry_Int_Tables_number 123
_symmetry_space_group_name_Hall '-P 4 2'
loop_
_atom_site_label
_atom_site_fract_x
_atom_site_fract_y
_atom_site_fract_z
Tl1 0.0000 0.0000 0.0000
Tl2 0.0000 0.0000 0.1976
Tl3 0.0000 0.0000 0.3994
Sn1 0.5000 0.5000 0.5000
Hg1 0.5000 0.5000 0.0978
Hg2 0.5000 0.5000 0.2965
```


Starting from a PBE-relaxed structure, the powder X-ray diffraction pattern of RbLi2Sn2Br7 was simulated for Cu Kα (λ = 1.5418 Å).
No peak broadening, texture or thermal motion is included.

Peak list (6 most intense, 2θ from 10° to 90°, low angle first)
hkl, d_spacing, 2theta, intensity
0 1 1, 5.725, 15.5, 75
1 4 1, 3.393, 26.3, 100
0 0 2, 2.959, 30.2, 81
2 0 0, 2.943, 30.4, 96
0 8 0, 2.912, 30.7, 88
2 8 0, 2.070, 43.7, 88

Atomic structure:
```
data_RbLi2Sn2Br7
_chemical_formula_sum 'Rb2 Li4 Sn4 Br14'
_cell_length_a 5.8870
_cell_length_b 23.2984
_cell_length_c 5.9189
_cell_angle_alpha 90.00
_cell_angle_beta 90.00
_cell_angle_gamma 90.00
_symmetry_space_group_name_H-M 'I m m 2'
_symmetry_Int_Tables_number 44
loop_
_symmetry_equiv_pos_as_xyz
'x,y,z'
'-x,-y,z'
'-x,y,z'
'x,-y,z'
'x+1/2,y+1/2,z+1/2'
'-x+1/2,-y+1/2,z+1/2'
'-x+1/2,y+1/2,z+1/2'
'x+1/2,-y+1/2,z+1/2'
loop_
_atom_site_label
_atom_site_fract_x
_atom_site_fract_y
_atom_site_fract_z
Rb1 0.0000 0.0000 0.0000
Li1 0.0000 0.2506 0.5767
Sn1 0.0000 0.3717 0.1067
Br1 0.0000 0.1322 0.6118
Br2 0.0000 0.2481 0.1165
Br3 0.0000 0.3672 0.5992
Br4 0.0000 0.5000 0.1512
```


Starting from a PBE-relaxed structure, the powder X-ray diffraction pattern of Na7Tl4Bi was simulated for Cu Kα (λ = 1.5418 Å).
No peak broadening, texture or thermal motion is included.

Peak list (6 most intense, 2θ from 10° to 90°, low angle first)
hkl, d_spacing, 2theta, intensity
0 1 1, 4.488, 19.8, 100
0 1 3, 3.285, 27.1, 37
1 0 4, 2.770, 32.3, 89
1 1 0, 2.744, 32.6, 85
0 2 4, 1.949, 46.6, 35
2 1 4, 1.589, 58.0, 42

Atomic structure:
```
data_Na7Tl4Bi
_chemical_formula_sum 'Na7 Tl4 Bi1'
_cell_length_a 5.4881
_cell_length_b 5.4881
_cell_length_c 13.6350
_cell_angle_alpha 90.00
_cell_angle_beta 90.00
_cell_angle_gamma 120.00
_symmetry_space_group_name_H-M 'P -3 m 1'
_symmetry_Int_Tables_number 164
_symmetry_space_group_name_Hall '-P 3 2"'
loop_
_atom_site_label
_atom_site_fract_x
_atom_site_fract_y
_atom_site_fract_z
Na1 0.0000 0.0000 0.0000
Na2 0.0000 0.0000 0.2592
Na3 0.3333 0.6667 0.1575
Na4 0.3333 0.6667 0.4275
Tl1 0.3333 0.6667 0.6707
Tl2 0.3333 0.6667 0.9173
Bi1 0.0000 0.0000 0.5000
```